(1)
For La2PmSm4Tm, a crystal structure in Alexandria, relaxed with PBE gives the theoretical X-ray powder pattern in this record (Cu Kα X-rays).

Most intense lines, 2θ from 10° to 90°, in order of falling intensity:
| Position (°2θ) | I_rel |
| --- | --- |
| 30.0 | 100 |
| 34.8 | 34 |
| 50.0 | 24 |
| 59.5 | 22 |
| 34.7 | 17 |
| 59.3 | 14 |
| 62.4 | 12 |
| 50.1 | 12 |
| 81.2 | 9 |
| 81.4 | 9 |

Lattice parameters (Å, degrees): 5.1445 5.1546 10.3415 90.00 90.06 90.00
Element x y z (fractional)
La: 0.0000 0.0000 0.0000
La: 0.5000 0.5000 0.5000
Pm: 0.0000 0.0000 0.5000
Sm: 0.9996 0.5000 0.2476
Sm: 0.0004 0.5000 0.7524
Sm: 0.5000 0.0000 0.2480
Sm: 0.5000 0.0000 0.7520
Tm: 0.5000 0.5000 0.0000


(2)
For LaPm2Sm2Y, a crystal structure in Alexandria, relaxed with PBE gives the theoretical X-ray powder pattern in this record (Cu Kα X-rays).

Most intense lines, 2θ from 10° to 90°, in order of falling intensity:
| Position (°2θ) | I_rel |
| --- | --- |
| 31.0 | 100 |
| 30.8 | 92 |
| 55.0 | 36 |
| 44.3 | 34 |
| 61.2 | 29 |
| 78.7 | 14 |
| 55.1 | 13 |
| 73.3 | 10 |
| 89.9 | 10 |
| 40.2 | 9 |

Lattice parameters (Å, degrees): 7.1221 5.7767 9.9805 90.00 90.00 90.00
Element x y z (fractional)
La: 0.0000 0.0000 0.0000
La: 0.5000 0.0000 0.0000
Pm: 0.2500 0.0000 0.3387
Pm: 0.2500 0.5000 0.8274
Pm: 0.7500 0.0000 0.6613
Pm: 0.7500 0.5000 0.1726
Sm: 0.0000 0.5000 0.5000
Sm: 0.2500 0.0000 0.6691
Sm: 0.5000 0.5000 0.5000
Sm: 0.7500 0.0000 0.3309
Y: 0.2500 0.5000 0.1652
Y: 0.7500 0.5000 0.8348


(3)
For LaPm2Sm2Y4, a crystal structure in Alexandria, relaxed with PBE gives the theoretical X-ray powder pattern in this record (Cu Kα X-rays).

Most intense lines, 2θ from 10° to 90°, in order of falling intensity:
| Position (°2θ) | I_rel |
| --- | --- |
| 31.4 | 100 |
| 33.1 | 91 |
| 30.7 | 49 |
| 28.4 | 45 |
| 59.8 | 29 |
| 50.0 | 25 |
| 53.9 | 21 |
| 57.2 | 19 |
| 39.6 | 17 |
| 59.7 | 15 |

Lattice parameters (Å, degrees): 9.6490 9.6490 9.7028 115.21 115.21 21.84
Element x y z (fractional)
La: 0.0000 0.0000 0.0000
Pm: 0.3325 0.3325 0.9986
Pm: 0.6675 0.6675 0.0014
Sm: 0.1476 0.1476 0.6647
Sm: 0.8524 0.8524 0.3353
Y: 0.1858 0.1858 0.3362
Y: 0.4803 0.4803 0.6640
Y: 0.5197 0.5197 0.3360
Y: 0.8142 0.8142 0.6638


(4)
For LaPm2Sm2Y2, a crystal structure in Alexandria, relaxed with PBE gives the theoretical X-ray powder pattern in this record (Cu Kα X-rays).

Most intense lines, 2θ from 10° to 90°, in order of falling intensity:
| Position (°2θ) | I_rel |
| --- | --- |
| 30.1 | 100 |
| 32.0 | 99 |
| 30.3 | 86 |
| 34.7 | 84 |
| 32.6 | 70 |
| 51.1 | 63 |
| 28.1 | 56 |
| 60.5 | 29 |
| 60.6 | 27 |
| 37.4 | 26 |

Lattice parameters (Å, degrees): 6.1878 6.1878 12.0772 108.60 108.60 33.58
Element x y z (fractional)
La: 0.0000 0.0000 0.0000
Pm: 0.4450 0.4450 0.7263
Pm: 0.5550 0.5550 0.2737
Sm: 0.3332 0.3332 0.4193
Sm: 0.6668 0.6668 0.5807
Y: 0.2220 0.2220 0.8592
Y: 0.7780 0.7780 0.1408